# 1
Calculated X-ray powder pattern
Compound: Zn6IrPt
Radiation: Cu Kα (λ = 1.5418 Å)
Structure: a DFT-relaxed cell (GGA-PBE, Alexandria)
Lines closer than 0.1° are merged.

Crystal structure
Cell: 6.6874 6.6874 10.8638 Å, 90.00 90.00 109.13°
Element x y z (fractional)
1 Zn 0.0000 0.0000 0.0000
2 Zn 0.0000 0.0000 0.5000
3 Zn 0.1196 0.3726 0.1244
4 Zn 0.1196 0.3726 0.8756
5 Zn 0.1216 0.3687 0.3745
6 Zn 0.1216 0.3687 0.6255
7 Zn 0.2492 0.7508 0.2493
8 Zn 0.2492 0.7508 0.7507
9 Zn 0.3687 0.1216 0.3745
10 Zn 0.3687 0.1216 0.6255
11 Zn 0.3726 0.1196 0.1244
12 Zn 0.3726 0.1196 0.8756
13 Zn 0.5000 0.5000 0.0000
14 Zn 0.5000 0.5000 0.5000
15 Zn 0.6274 0.8804 0.1244
16 Zn 0.6274 0.8804 0.8756
17 Zn 0.6313 0.8784 0.3745
18 Zn 0.6313 0.8784 0.6255
19 Zn 0.7508 0.2492 0.2493
20 Zn 0.7508 0.2492 0.7507
21 Zn 0.8784 0.6313 0.3745
22 Zn 0.8784 0.6313 0.6255
23 Zn 0.8804 0.6274 0.1244
24 Zn 0.8804 0.6274 0.8756
25 Ir 0.0000 0.0000 0.2463
26 Ir 0.0000 0.0000 0.7537
27 Ir 0.2567 0.7433 0.0000
28 Ir 0.7433 0.2567 0.0000
29 Pt 0.2563 0.7437 0.5000
30 Pt 0.5000 0.5000 0.2483
31 Pt 0.5000 0.5000 0.7517
32 Pt 0.7437 0.2563 0.5000

Principal peaks in the range 10 to 80 degrees two-theta, in order of rising 2θ:
2θ/deg, Rel. int.
22.94, 9
23.12, 18
32.81, 19
40.51, 100
46.86, 16
47.26, 32
53.16, 6
68.75, 20

# 2
Calculated X-ray powder pattern
Compound: Zr6IrPt
Radiation: Cu Kα (λ = 1.5418 Å)
Structure: a DFT-relaxed cell (GGA-PBE, Alexandria)
Lines closer than 0.1° are merged.

Crystal structure
Cell: 8.0319 8.0319 8.0319 Å, 145.53 145.53 49.54°
Element x y z (fractional)
1 Zr 0.1111 0.6111 0.5000
2 Zr 0.2494 0.2494 0.0000
3 Zr 0.3889 0.8889 0.5000
4 Zr 0.6111 0.1111 0.5000
5 Zr 0.7506 0.7506 0.0000
6 Zr 0.8889 0.3889 0.5000
7 Ir 0.0000 0.0000 0.0000
8 Pt 0.5000 0.5000 0.0000

Principal peaks in the range 10 to 80 degrees two-theta, in order of rising 2θ:
2θ/deg, Rel. int.
12.14, 26
36.33, 100
37.81, 47
46.06, 9
54.54, 16
64.37, 16
67.31, 32
77.14, 9

# 3
Calculated X-ray powder pattern
Compound: Zr2Ir3Pt3
Radiation: Cu Kα (λ = 1.5418 Å)
Structure: a DFT-relaxed cell (GGA-PBE, Alexandria)
Lines closer than 0.1° are merged.

Crystal structure
Cell: 4.0158 4.0526 7.9473 Å, 90.00 90.00 90.00°
Element x y z (fractional)
1 Zr 0.0000 0.0000 0.2466
2 Zr 0.0000 0.0000 0.7534
3 Ir 0.0000 0.5000 0.0000
4 Ir 0.5000 0.0000 0.0000
5 Ir 0.5000 0.0000 0.5000
6 Pt 0.0000 0.5000 0.5000
7 Pt 0.5000 0.5000 0.2479
8 Pt 0.5000 0.5000 0.7521

Principal peaks in the range 10 to 80 degrees two-theta, in order of rising 2θ:
2θ/deg, Rel. int.
38.86, 100
44.72, 17
45.16, 16
45.66, 16
65.44, 11
78.48, 13
79.11, 13
79.84, 13

# 4
Calculated X-ray powder pattern
Compound: ZrIrPt
Radiation: Cu Kα (λ = 1.5418 Å)
Structure: a DFT-relaxed cell (GGA-PBE, Alexandria)
Lines closer than 0.1° are merged.

Crystal structure
Cell: 4.6019 4.6019 5.6301 Å, 90.00 90.00 120.09°
Element x y z (fractional)
1 Zr 0.1670 0.8330 0.7500
2 Zr 0.8330 0.1670 0.2500
3 Ir 0.5000 0.5000 0.0000
4 Ir 0.5000 0.5000 0.5000
5 Pt 0.1659 0.8341 0.2500
6 Pt 0.8341 0.1659 0.7500

Principal peaks in the range 10 to 80 degrees two-theta, in order of rising 2θ:
2θ/deg, Rel. int.
27.43, 8
39.18, 100
56.61, 17
66.42, 4
70.96, 15
71.03, 12
79.89, 9
79.92, 5

# 5
Calculated X-ray powder pattern
Compound: Pu5Ir3
Radiation: Cu Kα (λ = 1.5418 Å)
Structure: a DFT-relaxed cell (GGA-PBE, Alexandria)
Lines closer than 0.1° are merged.

Crystal structure
Cell: 11.1041 11.1041 5.7159 Å, 90.00 90.00 90.00°
Element x y z (fractional)
1 Pu 0.0326 0.1649 0.2178
2 Pu 0.0326 0.3351 0.7178
3 Pu 0.1649 0.0326 0.7178
4 Pu 0.1649 0.4674 0.2178
5 Pu 0.2500 0.7500 0.0000
6 Pu 0.2500 0.7500 0.5000
7 Pu 0.3351 0.0326 0.2178
8 Pu 0.3351 0.4674 0.7178
9 Pu 0.4674 0.1649 0.7178
10 Pu 0.4674 0.3351 0.2178
11 Pu 0.5326 0.6649 0.7822
12 Pu 0.5326 0.8351 0.2822
13 Pu 0.6649 0.5326 0.2822
14 Pu 0.6649 0.9674 0.7822
15 Pu 0.7500 0.2500 0.0000
16 Pu 0.7500 0.2500 0.5000
17 Pu 0.8351 0.5326 0.7822
18 Pu 0.8351 0.9674 0.2822
19 Pu 0.9674 0.6649 0.2822
20 Pu 0.9674 0.8351 0.7822
21 Ir 0.0898 0.5898 0.7500
22 Ir 0.0898 0.9102 0.2500
23 Ir 0.2500 0.2500 0.4645
24 Ir 0.2500 0.2500 0.9645
25 Ir 0.4102 0.5898 0.2500
26 Ir 0.4102 0.9102 0.7500
27 Ir 0.5898 0.0898 0.2500
28 Ir 0.5898 0.4102 0.7500
29 Ir 0.7500 0.7500 0.0355
30 Ir 0.7500 0.7500 0.5355
31 Ir 0.9102 0.0898 0.7500
32 Ir 0.9102 0.4102 0.2500

Principal peaks in the range 10 to 80 degrees two-theta, in order of rising 2θ:
2θ/deg, Rel. int.
31.30, 21
33.04, 64
35.32, 50
36.19, 76
36.90, 100
38.98, 35
59.45, 28
69.32, 19

# 6
Calculated X-ray powder pattern
Compound: Pu6Ir5
Radiation: Cu Kα (λ = 1.5418 Å)
Structure: a DFT-relaxed cell (GGA-PBE, Alexandria)
Lines closer than 0.1° are merged.

Crystal structure
Cell: 6.2933 6.2933 7.2102 Å, 98.34 98.34 114.14°
Element x y z (fractional)
1 Pu 0.0601 0.3805 0.2194
2 Pu 0.2254 0.2254 0.7028
3 Pu 0.3805 0.0601 0.2194
4 Pu 0.6195 0.9399 0.7806
5 Pu 0.7746 0.7746 0.2972
6 Pu 0.9399 0.6195 0.7806
7 Ir 0.2081 0.7919 0.5000
8 Ir 0.3622 0.6378 0.0000
9 Ir 0.5000 0.5000 0.5000
10 Ir 0.6378 0.3622 0.0000
11 Ir 0.7919 0.2081 0.5000

Principal peaks in the range 10 to 80 degrees two-theta, in order of rising 2θ:
2θ/deg, Rel. int.
32.05, 69
33.03, 100
33.30, 19
36.39, 18
42.56, 26
45.83, 38
47.54, 38
62.34, 12

# 7
Calculated X-ray powder pattern
Compound: Pu3Ir2
Radiation: Cu Kα (λ = 1.5418 Å)
Structure: a DFT-relaxed cell (GGA-PBE, Alexandria)
Lines closer than 0.1° are merged.

Crystal structure
Cell: 8.1306 8.1306 8.1306 Å, 142.15 139.75 56.43°
Element x y z (fractional)
1 Pu 0.0000 0.0000 0.0000
2 Pu 0.1359 0.3859 0.7500
3 Pu 0.4517 0.2017 0.2500
4 Pu 0.5000 0.0000 0.5000
5 Pu 0.5483 0.7983 0.7500
6 Pu 0.8641 0.6141 0.2500
7 Ir 0.0610 0.8110 0.2500
8 Ir 0.3381 0.5881 0.7500
9 Ir 0.6619 0.4119 0.2500
10 Ir 0.9390 0.1890 0.7500

Principal peaks in the range 10 to 80 degrees two-theta, in order of rising 2θ:
2θ/deg, Rel. int.
31.99, 23
34.00, 62
35.66, 100
36.91, 32
41.13, 25
48.65, 25
61.93, 21
78.17, 22

# 8
Calculated X-ray powder pattern
Compound: Pu5Ir2
Radiation: Cu Kα (λ = 1.5418 Å)
Structure: a DFT-relaxed cell (GGA-PBE, Alexandria)
Lines closer than 0.1° are merged.

Crystal structure
Cell: 8.5112 8.5112 8.5112 Å, 125.56 69.27 140.57°
Element x y z (fractional)
1 Pu 0.0273 0.2500 0.7773
2 Pu 0.0868 0.6557 0.7426
3 Pu 0.2500 0.2500 0.0000
4 Pu 0.4132 0.1557 0.5689
5 Pu 0.4727 0.2500 0.2227
6 Pu 0.5273 0.7500 0.7773
7 Pu 0.5868 0.8443 0.4311
8 Pu 0.7500 0.7500 0.0000
9 Pu 0.9132 0.3443 0.2574
10 Pu 0.9727 0.7500 0.2227
11 Ir 0.1214 0.2912 0.4126
12 Ir 0.3786 0.7912 0.1698
13 Ir 0.6214 0.2088 0.8302
14 Ir 0.8786 0.7088 0.5874

Principal peaks in the range 10 to 80 degrees two-theta, in order of rising 2θ:
2θ/deg, Rel. int.
33.77, 36
33.89, 73
34.01, 80
34.45, 100
35.17, 73
38.98, 100
40.64, 94
58.14, 68

# 9
Calculated X-ray powder pattern
Compound: Rb3Pu3IrS8
Radiation: Cu Kα (λ = 1.5418 Å)
Structure: a DFT-relaxed cell (GGA-PBE, Alexandria)
Lines closer than 0.1° are merged.

Crystal structure
Cell: 7.9223 7.9223 9.0750 Å, 115.86 115.86 59.87°
Element x y z (fractional)
1 Rb 0.0000 0.0000 0.0000
2 Rb 0.0000 0.5000 0.0000
3 Rb 0.5000 0.0000 0.0000
4 Pu 0.0000 0.5000 0.5000
5 Pu 0.5000 0.0000 0.5000
6 Pu 0.5000 0.5000 0.5000
7 Ir 0.0000 0.0000 0.5000
8 S 0.2091 0.2091 0.6741
9 S 0.2093 0.7572 0.6754
10 S 0.2428 0.7907 0.3246
11 S 0.2679 0.2679 0.3061
12 S 0.7321 0.7321 0.6939
13 S 0.7572 0.2093 0.6754
14 S 0.7907 0.2428 0.3246
15 S 0.7909 0.7909 0.3259

Principal peaks in the range 10 to 80 degrees two-theta, in order of rising 2θ:
2θ/deg, Rel. int.
11.28, 95
22.68, 34
26.27, 26
27.09, 56
30.17, 100
37.47, 22
40.41, 38
45.85, 33

# 10
Calculated X-ray powder pattern
Compound: PuReSi2Ir
Radiation: Cu Kα (λ = 1.5418 Å)
Structure: a DFT-relaxed cell (GGA-PBE, Alexandria)
Lines closer than 0.1° are merged.

Crystal structure
Cell: 5.7653 5.7653 5.7653 Å, 137.74 137.74 61.29°
Element x y z (fractional)
1 Pu 0.0000 0.0000 0.0000
2 Re 0.7500 0.2500 0.5000
3 Si 0.3755 0.3755 0.0000
4 Si 0.6245 0.6245 0.0000
5 Ir 0.2500 0.7500 0.5000

Principal peaks in the range 10 to 80 degrees two-theta, in order of rising 2θ:
2θ/deg, Rel. int.
23.20, 29
34.67, 22
35.51, 100
36.22, 19
43.55, 34
57.89, 21
64.69, 18
74.72, 24

# 11
Calculated X-ray powder pattern
Compound: Pu3Ir2Rh
Radiation: Cu Kα (λ = 1.5418 Å)
Structure: a DFT-relaxed cell (GGA-PBE, Alexandria)
Lines closer than 0.1° are merged.

Crystal structure
Cell: 8.4104 8.4104 4.8526 Å, 106.74 106.74 120.33°
Element x y z (fractional)
1 Pu 0.0000 0.5000 0.0000
2 Pu 0.1614 0.3308 0.4962
3 Pu 0.3308 0.1614 0.9962
4 Pu 0.5000 0.0000 0.5000
5 Pu 0.6692 0.8386 0.0038
6 Pu 0.8386 0.6692 0.5038
7 Ir 0.0829 0.9171 0.2500
8 Ir 0.2545 0.7455 0.7500
9 Ir 0.7455 0.2545 0.2500
10 Ir 0.9171 0.0829 0.7500
11 Rh 0.4217 0.5783 0.2500
12 Rh 0.5783 0.4217 0.7500

Principal peaks in the range 10 to 80 degrees two-theta, in order of rising 2θ:
2θ/deg, Rel. int.
37.01, 50
37.14, 100
53.34, 18
53.74, 9
66.75, 28
66.86, 9
67.04, 18
79.13, 12

# 12
Calculated X-ray powder pattern
Compound: Pu2Ir2Rh
Radiation: Cu Kα (λ = 1.5418 Å)
Structure: a DFT-relaxed cell (GGA-PBE, Alexandria)
Lines closer than 0.1° are merged.

Crystal structure
Cell: 5.3536 5.3536 5.3536 Å, 129.83 119.04 82.76°
Element x y z (fractional)
1 Pu 0.1992 0.1992 0.0000
2 Pu 0.8008 0.8008 0.0000
3 Ir 0.2389 0.5000 0.7389
4 Ir 0.7611 0.5000 0.2611
5 Rh 0.5000 0.0000 0.5000

Principal peaks in the range 10 to 80 degrees two-theta, in order of rising 2θ:
2θ/deg, Rel. int.
25.58, 44
34.07, 100
39.05, 58
39.71, 58
40.08, 52
40.30, 97
57.70, 37
71.29, 42